(1)
This entry pairs a crystal structure of Ca5Mn4O9 with its computed powder XRD pattern. Radiation: Cu Ka. Structure: a structure optimized by DFT (GGA+U).
Peak positions follow from Bragg's law for the DFT cell and can differ from measured ones.

Crystal structure
```
Ca5Mn4O9
1.0
8.5616 -1.6648 0.0000
8.5616 1.6648 0.0000
-5.6552 0.0000 8.1292
Ca Mn O
5 4 9
Direct
0.0000 0.0000 0.0000
0.0026 0.0026 0.6564
0.3283 0.3283 0.6564
0.3355 0.3355 0.3228
0.6694 0.6694 0.9907
0.0037 0.0037 0.3263
0.3333 0.3333 0.9913
0.6661 0.6661 0.6557
0.6667 0.6667 0.3261
0.1625 0.1625 0.4862
0.1677 0.1677 0.1647
0.1707 0.1707 0.8206
0.5008 0.5008 0.8258
0.5021 0.5021 0.1695
0.5055 0.5055 0.4902
0.8288 0.8288 0.8292
0.8301 0.8301 0.4876
0.8376 0.8376 0.1533
```

Largest 10 diffraction maxima, low angle first, 2θ from 10° to 90°:
| 2theta | I/Imax |
| --- | --- |
| 10.96 | 6 |
| 33.02 | 37 |
| 33.34 | 12 |
| 38.41 | 100 |
| 55.23 | 30 |
| 55.66 | 28 |
| 66.09 | 7 |
| 66.45 | 5 |
| 69.23 | 9 |
| 82.27 | 8 |


(2)
This entry pairs a crystal structure of K2Cr2O7 with its computed powder XRD pattern. Radiation: Cu Ka. Structure: a structure optimized by DFT (GGA+U).
Peak positions follow from Bragg's law for the DFT cell and can differ from measured ones.

Crystal structure
```
K2Cr2O7
1.0
7.2221 -3.5452 0.0000
7.2221 3.5452 0.0000
-0.4828 0.0000 8.3584
K Cr O
4 4 14
Direct
0.1472 0.1472 0.1888
0.1495 0.1495 0.7195
0.8505 0.8505 0.2805
0.8528 0.8528 0.8112
0.3650 0.3650 0.4929
0.3902 0.3902 0.9186
0.6098 0.6098 0.0814
0.6350 0.6350 0.5071
0.2207 0.5959 0.4127
0.2372 0.6638 0.0137
0.2511 0.2511 0.4574
0.2790 0.2790 0.9689
0.3362 0.7628 0.9863
0.3928 0.3928 0.7019
0.4041 0.7793 0.5873
0.5959 0.2207 0.4127
0.6072 0.6072 0.2981
0.6638 0.2372 0.0137
0.7210 0.7210 0.0311
0.7489 0.7489 0.5426
0.7628 0.3362 0.9863
0.7793 0.4041 0.5873
```

Largest 10 diffraction maxima, low angle first, 2θ from 10° to 90°:
| 2theta | I/Imax |
| --- | --- |
| 13.92 | 56 |
| 21.26 | 17 |
| 23.99 | 31 |
| 24.70 | 49 |
| 25.15 | 100 |
| 25.80 | 24 |
| 28.05 | 18 |
| 30.28 | 28 |
| 31.79 | 32 |
| 35.51 | 28 |


(3)
This entry pairs a crystal structure of CaZrNbFeO7 with its computed powder XRD pattern. Radiation: Cu Ka. Structure: a structure optimized by DFT (GGA+U).
Peak positions follow from Bragg's law for the DFT cell and can differ from measured ones.

Crystal structure
```
CaZrNbFeO7
1.0
7.3878 0.0000 0.0000
3.5852 6.4895 0.0000
1.8090 0.9979 11.4112
Ca Zr Nb Fe O
4 4 4 4 28
Direct
0.0023 0.2534 0.0027
0.2475 0.4973 0.5020
0.7525 0.5027 0.4980
0.9977 0.7466 0.9973
0.2629 0.0089 0.4733
0.4898 0.2361 0.0287
0.5102 0.7639 0.9713
0.7371 0.9911 0.5267
0.1197 0.8917 0.2438
0.3882 0.6149 0.7454
0.6118 0.3851 0.2546
0.8803 0.1083 0.7562
0.0698 0.4674 0.2536
0.3643 0.1340 0.7511
0.6357 0.8660 0.2489
0.9302 0.5326 0.7464
0.0285 0.8912 0.4147
0.0585 0.2310 0.7855
0.0760 0.8298 0.7897
0.1089 0.3279 0.4050
0.1681 0.3945 0.0989
0.2155 0.8721 0.0698
0.2507 0.4504 0.7189
0.3123 0.5594 0.2857
0.3398 0.9317 0.2928
0.3752 0.7106 0.5708
0.3760 0.1186 0.9235
0.3814 0.1222 0.5785
0.3920 0.5235 0.9147
0.4388 0.8341 0.7924
0.5612 0.1659 0.2076
0.6080 0.4765 0.0853
0.6186 0.8778 0.4215
0.6240 0.8814 0.0765
0.6248 0.2894 0.4292
0.6602 0.0683 0.7072
0.6877 0.4406 0.7143
0.7493 0.5496 0.2811
0.7845 0.1279 0.9302
0.8319 0.6055 0.9011
0.8911 0.6721 0.5950
0.9240 0.1702 0.2103
0.9415 0.7690 0.2145
0.9715 0.1088 0.5853
```

Largest 10 diffraction maxima, low angle first, 2θ from 10° to 90°:
| 2theta | I/Imax |
| --- | --- |
| 29.37 | 91 |
| 29.55 | 95 |
| 29.97 | 100 |
| 31.36 | 75 |
| 34.78 | 51 |
| 35.02 | 23 |
| 48.41 | 29 |
| 49.17 | 30 |
| 49.35 | 35 |
| 51.57 | 26 |